[1]
Simulated powder diffraction line list of Mg2GeAu6 for Cu Ka, from DFT lattice parameters and positions (PBE).

Top 10 peaks for 10° ≤ 2θ ≤ 90°, sorted by position:
| 2θ (°) | I_rel |
| --- | --- |
| 21.90 | 25 |
| 22.09 | 24 |
| 27.62 | 37 |
| 36.63 | 61 |
| 36.88 | 60 |
| 37.23 | 58 |
| 39.34 | 100 |
| 45.48 | 34 |
| 45.78 | 32 |
| 67.77 | 21 |

Crystal structure
Unit cell a=8.3557 b=8.3557 c=4.9856 alpha=97.05 beta=97.05 gamma=71.91
Sites, in units of the cell vectors:
Mg1 0.0411 0.2917 0.0792
Mg2 0.2917 0.0411 0.5792
Mg3 0.7083 0.9589 0.4208
Mg4 0.9589 0.7083 0.9208
Ge1 0.3728 0.6272 0.7500
Ge2 0.6272 0.3728 0.2500
Au1 0.0684 0.8184 0.4767
Au2 0.1518 0.3967 0.6320
Au3 0.1816 0.9316 0.0233
Au4 0.2628 0.5136 0.1812
Au5 0.3967 0.1518 0.1320
Au6 0.4864 0.7372 0.3188
Au7 0.5136 0.2628 0.6812
Au8 0.6033 0.8482 0.8680
Au9 0.7372 0.4864 0.8188
Au10 0.8184 0.0684 0.9767
Au11 0.8482 0.6033 0.3680
Au12 0.9316 0.1816 0.5233


[2]
Simulated powder diffraction line list of Mg2GeAu5 for Cu Ka, from DFT lattice parameters and positions (PBE).

Top 10 peaks for 10° ≤ 2θ ≤ 90°, sorted by position:
| 2θ (°) | I_rel |
| --- | --- |
| 22.40 | 15 |
| 29.66 | 16 |
| 37.48 | 100 |
| 42.03 | 18 |
| 42.86 | 18 |
| 45.71 | 14 |
| 61.58 | 12 |
| 73.78 | 14 |
| 74.95 | 14 |
| 79.97 | 11 |

Crystal structure
Unit cell a=5.8522 b=5.8522 c=4.2201 alpha=90.00 beta=90.00 gamma=94.57
Sites, in units of the cell vectors:
Mg1 0.2326 0.7674 0.0000
Mg2 0.7674 0.2326 0.0000
Ge1 0.5000 0.5000 0.5000
Au1 0.0000 0.0000 0.5000
Au2 0.0000 0.5000 0.5000
Au3 0.2649 0.2649 0.0000
Au4 0.5000 0.0000 0.5000
Au5 0.7351 0.7351 0.0000


[3]
Simulated powder diffraction line list of MgUGeAu for Cu Ka, from DFT lattice parameters and positions (PBE).

Top 10 peaks for 10° ≤ 2θ ≤ 90°, sorted by position:
| 2θ (°) | I_rel |
| --- | --- |
| 22.18 | 46 |
| 36.61 | 100 |
| 43.22 | 26 |
| 52.73 | 18 |
| 57.89 | 11 |
| 65.90 | 37 |
| 70.47 | 9 |
| 77.82 | 12 |
| 82.12 | 9 |
| 89.21 | 17 |

Crystal structure
Unit cell a=4.9096 b=4.9096 c=4.9096 alpha=60.00 beta=60.00 gamma=60.00
Sites, in units of the cell vectors:
Mg1 0.0000 0.0000 0.0000
U1 0.5000 0.5000 0.5000
Ge1 0.7500 0.7500 0.7500
Au1 0.2500 0.2500 0.2500